The following is a simulated X-ray powder pattern of Pa3PbN2O6. It was derived from a cell relaxed with PBE, using Cu Kα.
Kinematic intensities with the Lorentz-polarization factor, no thermal factor.

The 12 most intense peaks (10 to 90 degrees two-theta), by intensity:
| two_theta | I/Imax |
| --- | --- |
| 29.12 | 100 |
| 23.89 | 79 |
| 29.90 | 47 |
| 24.13 | 42 |
| 48.84 | 41 |
| 19.06 | 40 |
| 49.42 | 34 |
| 52.61 | 29 |
| 34.84 | 26 |
| 31.57 | 25 |
| 24.51 | 25 |
| 31.79 | 21 |

Structure:
```
data_Pa3PbN2O6
_chemical_formula_sum 'Pa6 Pb2 N4 O12'
_cell_length_a 11.9554
_cell_length_b 7.1443
_cell_length_c 4.6579
_cell_angle_alpha 90.00
_cell_angle_beta 91.33
_cell_angle_gamma 90.00
_symmetry_space_group_name_H-M 'C 1 2/m 1'
_symmetry_Int_Tables_number 12
loop_
_symmetry_equiv_pos_as_xyz
'x,y,z'
'-x,-y,-z'
'-x,y,-z'
'x,-y,z'
'x+1/2,y+1/2,z'
'-x+1/2,-y+1/2,-z'
'-x+1/2,y+1/2,-z'
'x+1/2,-y+1/2,z'
loop_
_atom_site_label
_atom_site_fract_x
_atom_site_fract_y
_atom_site_fract_z
Pa1 0.0000 0.0000 0.0000
Pa2 0.2500 0.2500 0.5000
Pb1 0.0000 0.5000 0.5000
N1 0.1629 0.0000 0.7257
O1 0.0922 0.2240 0.2410
O2 0.1872 0.5000 0.7056
```

The following is a simulated X-ray powder pattern of UPaN2O. It was derived from a cell relaxed with PBE, using Cu Kα.
Kinematic intensities with the Lorentz-polarization factor, no thermal factor.

The 12 most intense peaks (10 to 90 degrees two-theta), by intensity:
| two_theta | I/Imax |
| --- | --- |
| 30.20 | 100 |
| 36.48 | 36 |
| 49.24 | 31 |
| 61.81 | 29 |
| 31.91 | 22 |
| 55.81 | 18 |
| 52.55 | 15 |
| 62.81 | 14 |
| 80.20 | 13 |
| 88.84 | 6 |
| 85.38 | 6 |
| 86.27 | 6 |

Structure:
```
data_UPaN2O
_chemical_formula_sum 'U2 Pa2 N4 O2'
_cell_length_a 3.4832
_cell_length_b 3.4832
_cell_length_c 11.2180
_cell_angle_alpha 90.00
_cell_angle_beta 90.00
_cell_angle_gamma 90.00
_symmetry_space_group_name_H-M 'P 4/n m m'
_symmetry_Int_Tables_number 129
loop_
_symmetry_equiv_pos_as_xyz
'x,y,z'
'-x,-y,-z'
'-y+1/2,x,z'
'y+1/2,-x,-z'
'-x+1/2,-y+1/2,z'
'x+1/2,y+1/2,-z'
'y,-x+1/2,z'
'-y,x+1/2,-z'
'x+1/2,-y,-z'
'-x+1/2,y,z'
'-y,-x,-z'
'y,x,z'
'-x,y+1/2,-z'
'x,-y+1/2,z'
'y+1/2,x+1/2,-z'
'-y+1/2,-x+1/2,z'
loop_
_atom_site_label
_atom_site_fract_x
_atom_site_fract_y
_atom_site_fract_z
U1 0.2500 0.2500 0.1323
Pa1 0.2500 0.2500 0.6133
N1 0.2500 0.2500 0.3792
N2 0.2500 0.2500 0.8027
O1 0.2500 0.7500 0.0000
```

The following is a simulated X-ray powder pattern of PtPb2NO. It was derived from a cell relaxed with PBE, using Cu Kα.
Kinematic intensities with the Lorentz-polarization factor, no thermal factor.

The 12 most intense peaks (10 to 90 degrees two-theta), by intensity:
| two_theta | I/Imax |
| --- | --- |
| 30.81 | 100 |
| 29.96 | 61 |
| 34.84 | 53 |
| 14.85 | 43 |
| 29.17 | 40 |
| 32.91 | 37 |
| 58.39 | 34 |
| 50.96 | 29 |
| 38.96 | 28 |
| 16.28 | 27 |
| 45.45 | 24 |
| 40.25 | 23 |

Structure:
```
data_PtPb2NO
_chemical_formula_sum 'Pt2 Pb4 N2 O2'
_cell_length_a 12.1667
_cell_length_b 3.7285
_cell_length_c 5.5511
_cell_angle_alpha 90.00
_cell_angle_beta 101.28
_cell_angle_gamma 90.00
_symmetry_space_group_name_H-M 'C 1 m 1'
_symmetry_Int_Tables_number 8
loop_
_symmetry_equiv_pos_as_xyz
'x,y,z'
'x,-y,z'
'x+1/2,y+1/2,z'
'x+1/2,-y+1/2,z'
loop_
_atom_site_label
_atom_site_fract_x
_atom_site_fract_y
_atom_site_fract_z
Pt1 0.0000 0.0000 0.0000
Pb1 0.2226 0.0000 0.8682
Pb2 0.4919 0.0000 0.4816
N1 0.4973 0.0000 0.0005
O1 0.1780 0.5000 0.6216
```

The following is a simulated X-ray powder pattern of PtPb2NO. It was derived from a cell relaxed with PBE, using Cu Kα.
Kinematic intensities with the Lorentz-polarization factor, no thermal factor.

The 12 most intense peaks (10 to 90 degrees two-theta), by intensity:
| two_theta | I/Imax |
| --- | --- |
| 26.99 | 100 |
| 27.45 | 93 |
| 29.52 | 66 |
| 32.15 | 43 |
| 32.76 | 43 |
| 56.62 | 37 |
| 44.74 | 32 |
| 42.54 | 27 |
| 38.19 | 25 |
| 38.89 | 23 |
| 48.47 | 22 |
| 50.25 | 22 |

Structure:
```
data_PtPb2NO
_chemical_formula_sum 'Pt1 Pb2 N1 O1'
_cell_length_a 4.2614
_cell_length_b 3.7562
_cell_length_c 7.1374
_cell_angle_alpha 90.00
_cell_angle_beta 103.25
_cell_angle_gamma 90.00
_symmetry_space_group_name_H-M 'P 1 m 1'
_symmetry_Int_Tables_number 6
loop_
_symmetry_equiv_pos_as_xyz
'x,y,z'
'x,-y,z'
loop_
_atom_site_label
_atom_site_fract_x
_atom_site_fract_y
_atom_site_fract_z
Pt1 0.0000 0.0000 0.0000
Pb1 0.3593 0.0000 0.7001
Pb2 0.7098 0.5000 0.2807
N1 0.0087 0.5000 0.0021
O1 0.1792 0.5000 0.5193
```

The following is a simulated X-ray powder pattern of PbS2N2O8. It was derived from a cell relaxed with PBE, using Cu Kα.
Kinematic intensities with the Lorentz-polarization factor, no thermal factor.

The 12 most intense peaks (10 to 90 degrees two-theta), by intensity:
| two_theta | I/Imax |
| --- | --- |
| 11.25 | 100 |
| 26.43 | 35 |
| 19.89 | 32 |
| 34.17 | 30 |
| 32.15 | 26 |
| 39.67 | 25 |
| 18.78 | 20 |
| 53.96 | 13 |
| 46.32 | 11 |
| 35.70 | 10 |
| 68.46 | 8 |
| 42.68 | 8 |

Structure:
```
data_PbS2N2O8
_chemical_formula_sum 'Pb3 S6 N6 O24'
_cell_length_a 5.5683
_cell_length_b 5.5683
_cell_length_c 23.5852
_cell_angle_alpha 90.00
_cell_angle_beta 90.00
_cell_angle_gamma 120.00
_symmetry_space_group_name_H-M 'R -3 m'
_symmetry_Int_Tables_number 166
_symmetry_space_group_name_Hall '-R 3 2"'
loop_
_atom_site_label
_atom_site_fract_x
_atom_site_fract_y
_atom_site_fract_z
Pb1 0.0000 0.0000 0.0000
S1 0.0000 0.0000 0.3723
N1 0.0000 0.0000 0.1773
O1 0.0000 0.0000 0.3110
O2 0.0413 0.5206 0.2704
```

The following is a simulated X-ray powder pattern of Pm3NO2. It was derived from a cell relaxed with PBE, using Cu Kα.
Kinematic intensities with the Lorentz-polarization factor, no thermal factor.

The 12 most intense peaks (10 to 90 degrees two-theta), by intensity:
| two_theta | I/Imax |
| --- | --- |
| 30.77 | 100 |
| 35.63 | 52 |
| 51.38 | 36 |
| 61.00 | 30 |
| 35.76 | 26 |
| 64.09 | 18 |
| 51.28 | 18 |
| 61.18 | 15 |
| 86.41 | 12 |
| 83.78 | 10 |
| 86.65 | 8 |
| 83.85 | 6 |

Structure:
```
data_Pm3NO2
_chemical_formula_sum 'Pm12 N4 O8'
_cell_length_a 7.1207
_cell_length_b 5.0214
_cell_length_c 10.6984
_cell_angle_alpha 90.00
_cell_angle_beta 90.00
_cell_angle_gamma 90.00
_symmetry_space_group_name_H-M 'P n m a'
_symmetry_Int_Tables_number 62
loop_
_symmetry_equiv_pos_as_xyz
'x,y,z'
'-x,-y,-z'
'-x+1/2,-y,z+1/2'
'x+1/2,y,-z+1/2'
'x+1/2,-y+1/2,-z+1/2'
'-x+1/2,y+1/2,z+1/2'
'-x,y+1/2,-z'
'x,-y+1/2,z'
loop_
_atom_site_label
_atom_site_fract_x
_atom_site_fract_y
_atom_site_fract_z
Pm1 0.1220 0.2500 0.0807
Pm2 0.1247 0.2500 0.7510
Pm3 0.1286 0.2500 0.4194
N1 0.1273 0.7500 0.0822
O1 0.1243 0.7500 0.4163
O2 0.1253 0.7500 0.7525
```